# 1
Calculated powder XRD pattern
Compound: Mn2CoIr
Radiation: Cu Kα
Structure: a GGA-PBE-relaxed structure
Intensities are scaled so that the largest is 1000.

Top 8 peaks for 2θ from 10° to 90°, in order of falling intensity:
- 2θ 46.39, d 1.957, rel. 1000
- 2θ 40.29, d 2.238, rel. 334
- 2θ 44.92, d 2.018, rel. 236
- 2θ 29.82, d 2.996, rel. 235
- 2θ 19.85, d 4.473, rel. 201
- 2θ 61.92, d 1.499, rel. 187
- 2θ 22.03, d 4.035, rel. 182
- 2θ 83.93, d 1.153, rel. 171

Structural model:
abc: 2.587 4.035 4.473
angles: 90.00 90.00 90.00
Element x y z (fractional)
Mn  0.000  0.000  0.000
Mn  0.000  0.500  0.315
Co  0.500  0.500  0.849
Ir  0.500  0.000  0.503



# 2
Calculated powder XRD pattern
Compound: CoMo2Ir
Radiation: Cu Kα
Structure: a GGA-PBE-relaxed structure
Intensities are scaled so that the largest is 1000.

Top 8 peaks for 2θ from 10° to 90°, in order of falling intensity:
- 2θ 40.64, d 2.220, rel. 1000
- 2θ 47.10, d 1.930, rel. 325
- 2θ 69.25, d 1.357, rel. 201
- 2θ 47.65, d 1.908, rel. 157
- 2θ 25.87, d 3.444, rel. 153
- 2θ 83.04, d 1.163, rel. 124
- 2θ 83.15, d 1.162, rel. 124
- 2θ 83.91, d 1.153, rel. 121

Structural model:
abc: 5.452 5.463 7.633
angles: 90.00 90.00 90.00
Element x y z (fractional)
Co  0.000  0.000  0.000
Co  0.000  0.500  0.500
Co  0.500  0.000  0.500
Co  0.500  0.500  0.000
Mo  0.000  0.000  0.500
Mo  0.000  0.500  0.000
Mo  0.250  0.250  0.250
Mo  0.250  0.750  0.750
Mo  0.500  0.000  0.000
Mo  0.500  0.500  0.500
Mo  0.750  0.250  0.750
Mo  0.750  0.750  0.250
Ir  0.250  0.250  0.750
Ir  0.250  0.750  0.250
Ir  0.750  0.250  0.250
Ir  0.750  0.750  0.750



# 3
Calculated powder XRD pattern
Compound: CoMoIr2
Radiation: Cu Kα
Structure: a GGA-PBE-relaxed structure
Intensities are scaled so that the largest is 1000.

Top 8 peaks for 2θ from 10° to 90°, in order of falling intensity:
- 2θ 40.76, d 2.214, rel. 1000
- 2θ 40.92, d 2.206, rel. 977
- 2θ 47.01, d 1.933, rel. 655
- 2θ 69.86, d 1.346, rel. 399
- 2θ 23.71, d 3.753, rel. 323
- 2θ 48.51, d 1.877, rel. 302
- 2θ 82.93, d 1.164, rel. 254
- 2θ 83.24, d 1.161, rel. 242

Structural model:
abc: 2.742 3.753 5.452
angles: 90.00 90.00 90.00
Element x y z (fractional)
Co  0.000  0.000  0.000
Mo  0.000  0.000  0.500
Ir  0.500  0.500  0.240
Ir  0.500  0.500  0.760



# 4
Calculated powder XRD pattern
Compound: CoMo2Ir
Radiation: Cu Kα
Structure: a GGA-PBE-relaxed structure
Intensities are scaled so that the largest is 1000.

Top 8 peaks for 2θ from 10° to 90°, in order of falling intensity:
- 2θ 40.62, d 2.221, rel. 1000
- 2θ 40.83, d 2.210, rel. 980
- 2θ 47.38, d 1.919, rel. 951
- 2θ 69.24, d 1.357, rel. 400
- 2θ 83.40, d 1.159, rel. 367
- 2θ 16.40, d 5.405, rel. 303
- 2θ 28.52, d 3.130, rel. 242
- 2θ 83.79, d 1.154, rel. 238

Structural model:
abc: 2.723 3.839 5.405
angles: 90.00 90.00 90.00
Element x y z (fractional)
Co  0.000  0.000  0.000
Mo  0.500  0.500  0.241
Mo  0.500  0.500  0.759
Ir  0.000  0.000  0.500



# 5
Calculated powder XRD pattern
Compound: NaCoP2Ir
Radiation: Cu Kα
Structure: a GGA-PBE-relaxed structure
Intensities are scaled so that the largest is 1000.

Top 8 peaks for 2θ from 10° to 90°, in order of falling intensity:
- 2θ 37.43, d 2.403, rel. 1000
- 2θ 18.21, d 4.872, rel. 997
- 2θ 24.56, d 3.625, rel. 622
- 2θ 49.92, d 1.827, rel. 465
- 2θ 46.50, d 1.953, rel. 392
- 2θ 35.96, d 2.497, rel. 296
- 2θ 50.34, d 1.813, rel. 284
- 2θ 32.42, d 2.762, rel. 259

Structural model:
abc: 3.906 3.906 9.744
angles: 90.00 90.00 90.00
Element x y z (fractional)
Na  0.000  0.000  0.000
Na  0.500  0.500  0.500
Co  0.000  0.500  0.250
Co  0.500  0.000  0.750
P  0.000  0.000  0.377
P  0.000  0.000  0.623
P  0.500  0.500  0.123
P  0.500  0.500  0.877
Ir  0.000  0.500  0.750
Ir  0.500  0.000  0.250



# 6
Calculated powder XRD pattern
Compound: NbCo4Ir2
Radiation: Cu Kα
Structure: a GGA-PBE-relaxed structure
Intensities are scaled so that the largest is 1000.

Top 8 peaks for 2θ from 10° to 90°, in order of falling intensity:
- 2θ 41.51, d 2.175, rel. 1000
- 2θ 42.09, d 2.147, rel. 890
- 2θ 29.04, d 3.075, rel. 795
- 2θ 60.62, d 1.528, rel. 597
- 2θ 14.35, d 6.171, rel. 372
- 2θ 21.67, d 4.101, rel. 359
- 2θ 60.19, d 1.537, rel. 230
- 2θ 29.90, d 2.988, rel. 188

Structural model:
abc: 4.349 4.349 12.341
angles: 90.00 90.00 90.00
Element x y z (fractional)
Nb  0.000  0.000  0.000
Nb  0.500  0.500  0.500
Co  0.000  0.000  0.202
Co  0.000  0.000  0.798
Co  0.000  0.500  0.000
Co  0.000  0.500  0.500
Co  0.500  0.000  0.000
Co  0.500  0.000  0.500
Co  0.500  0.500  0.298
Co  0.500  0.500  0.702
Ir  0.000  0.000  0.392
Ir  0.000  0.000  0.608
Ir  0.500  0.500  0.108
Ir  0.500  0.500  0.892



# 7
Calculated powder XRD pattern
Compound: NbCoIrRu
Radiation: Cu Kα
Structure: a GGA-PBE-relaxed structure
Intensities are scaled so that the largest is 1000.

Top 8 peaks for 2θ from 10° to 90°, in order of falling intensity:
- 2θ 40.72, d 2.216, rel. 1000
- 2θ 46.77, d 1.942, rel. 167
- 2θ 47.50, d 1.914, rel. 160
- 2θ 47.85, d 1.901, rel. 156
- 2θ 82.65, d 1.167, rel. 125
- 2θ 83.73, d 1.155, rel. 121
- 2θ 84.26, d 1.149, rel. 119
- 2θ 88.18, d 1.108, rel. 109

Structural model:
abc: 3.802 3.829 3.885
angles: 90.00 90.00 90.00
Element x y z (fractional)
Nb  0.000  0.000  0.000
Co  0.000  0.500  0.500
Ir  0.500  0.000  0.500
Ru  0.500  0.500  0.000



# 8
Calculated powder XRD pattern
Compound: Co3Ni4Ir12
Radiation: Cu Kα
Structure: a GGA-PBE-relaxed structure
Intensities are scaled so that the largest is 1000.

Top 8 peaks for 2θ from 10° to 90°, in order of falling intensity:
- 2θ 13.89, d 6.378, rel. 1000
- 2θ 44.95, d 2.017, rel. 637
- 2θ 37.30, d 2.411, rel. 440
- 2θ 24.17, d 3.682, rel. 385
- 2θ 51.68, d 1.769, rel. 316
- 2θ 49.51, d 1.841, rel. 313
- 2θ 42.52, d 2.126, rel. 277
- 2θ 74.37, d 1.276, rel. 162

Structural model:
abc: 7.811 7.811 7.811
angles: 109.47 109.47 109.47
Element x y z (fractional)
Co  0.000  0.500  0.500
Co  0.500  0.000  0.500
Co  0.500  0.500  0.000
Ni  0.000  0.000  0.500
Ni  0.000  0.500  0.000
Ni  0.500  0.000  0.000
Ni  0.500  0.500  0.500
Ir  0.091  0.730  0.361
Ir  0.270  0.361  0.631
Ir  0.270  0.639  0.909
Ir  0.361  0.091  0.730
Ir  0.361  0.631  0.270
Ir  0.369  0.730  0.639
Ir  0.631  0.270  0.361
Ir  0.639  0.369  0.730
Ir  0.639  0.909  0.270
Ir  0.730  0.361  0.091
Ir  0.730  0.639  0.369
Ir  0.909  0.270  0.639



# 9
Calculated powder XRD pattern
Compound: Co2Ni4Ir
Radiation: Cu Kα
Structure: a GGA-PBE-relaxed structure
Intensities are scaled so that the largest is 1000.

Top 8 peaks for 2θ from 10° to 90°, in order of falling intensity:
- 2θ 38.85, d 2.318, rel. 1000
- 2θ 42.38, d 2.133, rel. 859
- 2θ 49.59, d 1.838, rel. 642
- 2θ 45.33, d 2.001, rel. 383
- 2θ 45.44, d 1.996, rel. 381
- 2θ 38.93, d 2.313, rel. 342
- 2θ 24.60, d 3.619, rel. 318
- 2θ 39.86, d 2.262, rel. 251

Structural model:
abc: 7.525 6.033 4.524
angles: 90.00 126.72 90.00
Element x y z (fractional)
Co  0.002  0.000  0.251
Co  0.498  0.500  0.749
Co  0.502  0.500  0.251
Co  0.998  0.000  0.749
Ni  0.195  0.305  0.195
Ni  0.195  0.695  0.195
Ni  0.305  0.195  0.805
Ni  0.305  0.805  0.805
Ni  0.695  0.195  0.195
Ni  0.695  0.805  0.195
Ni  0.805  0.305  0.805
Ni  0.805  0.695  0.805
Ir  0.000  0.500  0.500
Ir  0.500  0.000  0.500



# 10
Calculated powder XRD pattern
Compound: Co6NiIr3
Radiation: Cu Kα
Structure: a GGA-PBE-relaxed structure
Intensities are scaled so that the largest is 1000.

Top 8 peaks for 2θ from 10° to 90°, in order of falling intensity:
- 2θ 45.88, d 1.978, rel. 1000
- 2θ 44.38, d 2.041, rel. 657
- 2θ 48.11, d 1.891, rel. 493
- 2θ 45.98, d 1.974, rel. 397
- 2θ 32.62, d 2.745, rel. 389
- 2θ 15.24, d 5.816, rel. 372
- 2θ 44.08, d 2.055, rel. 356
- 2θ 22.65, d 3.925, rel. 313

Structural model:
abc: 7.573 3.783 9.284
angles: 90.00 91.05 90.00
Element x y z (fractional)
Co  0.046  0.250  0.314
Co  0.074  0.250  0.063
Co  0.087  0.750  0.453
Co  0.250  0.750  0.920
Co  0.416  0.750  0.441
Co  0.421  0.250  0.794
Co  0.579  0.750  0.206
Co  0.584  0.250  0.559
Co  0.750  0.250  0.080
Co  0.913  0.250  0.547
Co  0.926  0.750  0.937
Co  0.954  0.750  0.686
Ni  0.097  0.250  0.801
Ni  0.903  0.750  0.199
Ir  0.238  0.750  0.208
Ir  0.256  0.250  0.565
Ir  0.412  0.250  0.068
Ir  0.588  0.750  0.932
Ir  0.744  0.750  0.435
Ir  0.762  0.250  0.792



# 11
Calculated powder XRD pattern
Compound: Co7Ni2Ir
Radiation: Cu Kα
Structure: a GGA-PBE-relaxed structure
Intensities are scaled so that the largest is 1000.

Top 8 peaks for 2θ from 10° to 90°, in order of falling intensity:
- 2θ 43.84, d 2.065, rel. 1000
- 2θ 43.99, d 2.058, rel. 986
- 2θ 50.81, d 1.797, rel. 318
- 2θ 50.96, d 1.792, rel. 315
- 2θ 51.71, d 1.768, rel. 298
- 2θ 12.99, d 6.814, rel. 207
- 2θ 75.48, d 1.259, rel. 180
- 2θ 13.99, d 6.329, rel. 177

Structural model:
abc: 2.544 6.687 7.072
angles: 105.23 90.01 100.82
Element x y z (fractional)
Co  0.000  0.000  0.000
Co  0.203  0.406  0.600
Co  0.398  0.794  0.706
Co  0.399  0.796  0.192
Co  0.601  0.204  0.808
Co  0.602  0.206  0.294
Co  0.797  0.594  0.400
Ni  0.200  0.402  0.101
Ni  0.800  0.598  0.899
Ir  0.000  0.000  0.500



# 12
Calculated powder XRD pattern
Compound: Co5Ni2Ir4
Radiation: Cu Kα
Structure: a GGA-PBE-relaxed structure
Intensities are scaled so that the largest is 1000.

Top 8 peaks for 2θ from 10° to 90°, in order of falling intensity:
- 2θ 23.17, d 3.839, rel. 1000
- 2θ 47.38, d 1.919, rel. 987
- 2θ 43.79, d 2.067, rel. 860
- 2θ 44.25, d 2.047, rel. 841
- 2θ 42.88, d 2.109, rel. 736
- 2θ 34.44, d 2.604, rel. 419
- 2θ 38.16, d 2.358, rel. 330
- 2θ 43.02, d 2.103, rel. 302

Structural model:
abc: 5.124 14.720 3.839
angles: 90.00 90.00 90.00
Element x y z (fractional)
Co  0.000  0.000  0.000
Co  0.086  0.413  0.000
Co  0.171  0.251  0.000
Co  0.329  0.751  0.000
Co  0.414  0.913  0.000
Co  0.500  0.500  0.000
Co  0.586  0.087  0.000
Co  0.671  0.249  0.000
Co  0.829  0.749  0.000
Co  0.914  0.587  0.000
Ni  0.081  0.682  0.500
Ni  0.419  0.182  0.500
Ni  0.581  0.818  0.500
Ni  0.919  0.318  0.500
Ir  0.088  0.849  0.500
Ir  0.233  0.522  0.500
Ir  0.267  0.022  0.500
Ir  0.412  0.349  0.500
Ir  0.588  0.651  0.500
Ir  0.733  0.978  0.500
Ir  0.767  0.478  0.500
Ir  0.912  0.151  0.500